For Pu3NpS4, the GGA-PBE geometry in Alexandria gives the calculated X-ray powder pattern in this record (λ = 1.5418 Å (Cu Kα)).
Peak positions follow from Bragg's law for the DFT cell and can differ from measured ones.

Structure:
Lattice parameters (Å, degrees): 5.581 5.581 5.581 90.00 90.00 90.00
Atoms (fractional coordinates):
Pu1 0.000 0.000 0.500
Pu2 0.000 0.500 0.000
Pu3 0.500 0.000 0.000
Np1 0.500 0.500 0.500
S1 0.000 0.000 0.000
S2 0.000 0.500 0.500
S3 0.500 0.000 0.500
S4 0.500 0.500 0.000

Main lines, by angle (2θ from 5° to 70°):
27.69°, rel. 1000
32.08°, rel. 935
46.00°, rel. 694
54.54°, rel. 503
57.18°, rel. 245
67.09°, rel. 114